Structure and computed X-ray diffraction stick pattern of Ga2PdAu8 (a structure optimized by DFT (GGA-PBE); Cu Kα).
Kinematic intensities with the Lorentz-polarization factor, no thermal factor.

Structure:
```
data_Ga2PdAu8
_chemical_formula_sum 'Ga2 Pd1 Au8'
_cell_length_a 4.128
_cell_length_b 6.581
_cell_length_c 7.780
_cell_angle_alpha 71.97
_cell_angle_beta 75.13
_cell_angle_gamma 89.69
_symmetry_space_group_name_H-M 'P 1'
_symmetry_Int_Tables_number 1
_symmetry_space_group_name_Hall 'P 1'
loop_
_atom_site_label
_atom_site_type_symbol
_atom_site_fract_x
_atom_site_fract_y
_atom_site_fract_z
Ga1 Ga 0.214 0.160 0.074
Ga2 Ga 0.786 0.840 0.926
Pd1 Pd 0.500 0.500 0.500
Au1 Au 0.042 0.241 0.418
Au2 Au 0.149 0.720 0.199
Au3 Au 0.323 0.573 0.854
Au4 Au 0.406 0.038 0.689
Au5 Au 0.594 0.962 0.311
Au6 Au 0.677 0.427 0.146
Au7 Au 0.851 0.280 0.801
Au8 Au 0.958 0.759 0.582
```

Most intense lines, 2θ from 10° to 90°, low angle first:
| d (Å) | Position (°2θ) | Rel. int. | hkl |
| --- | --- | --- | --- |
| 2.423 | 37.1 | 100.0 | -1 1 2 |
| 2.405 | 37.4 | 97.7 | 1 1 3 |
| 2.363 | 38.1 | 92.4 | 1 2 0 |
| 2.341 | 38.5 | 88.1 | 1 -2 1 |
| 2.113 | 42.8 | 61.1 | 0 3 2 |
| 2.064 | 43.9 | 66.9 | 2 0 1 |